Calculated XRD peak list
Compound: Ti6Al16Pd7
Radiation: Cu Kα, 1.54184 Å
Structure: a structure optimized by DFT (GGA-PBE)
Lines closer than 0.1° are merged.

Largest 12 diffraction maxima, low angle first, 5 to 70 degrees two-theta:
h k l  two_theta  d_spacing  I_rel
2 2 2  25.26  3.525  75
4 0 0  29.25  3.053  36
3 3 1  31.95  2.802  15
4 2 2  36.03  2.493  20
3 3 3  38.30  2.350  26
4 4 0  41.85  2.159  100
5 3 1  43.86  2.064  13
6 0 0  44.52  2.035  13
6 2 2  49.51  1.841  64
8 0 0  60.67  1.526  15
6 6 2  66.78  1.401  26
8 4 0  68.76  1.365  12

Structural model:
a b c (Å): 12.212 12.212 12.212
angles (deg): 90.00 90.00 90.00
Space group Fm-3m (No. 225)
Unique sites:
Ti: 0.000 0.000 0.172 (multiplicity 24)
Al: 0.120 0.120 0.380 (multiplicity 32)
Al: 0.160 0.160 0.160 (multiplicity 32)
Pd: 0.000 0.000 0.500 (multiplicity 4)
Pd: 0.000 0.250 0.250 (multiplicity 24)